Entry 1:
Starting from a structure optimized by DFT (PBE), the PXRD pattern of Ce2USb3 was calculated for Cu Kα, 1.54184 Å.
Peak positions follow from Bragg's law for the DFT cell and can differ from measured ones.

Structural model:
abc: 4.460 4.460 18.904
angles: 90.00 90.00 90.00
Space group I4/mmm (No. 139)
One atom of each set of equivalent atoms:
Ce 0.000 0.000 0.167 [4 per cell]
U 0.000 0.000 0.500 [2 per cell]
Sb 0.000 0.000 0.000 [2 per cell]
Sb 0.000 0.000 0.335 [4 per cell]

The 12 most intense peaks (15° ≤ 2θ ≤ 90°), low angle first:
| d [Å] | I/Imax |
| --- | --- |
| 4.341 | 3 |
| 3.641 | 5 |
| 3.153 | 100 |
| 2.992 | 1 |
| 2.229 | 77 |
| 1.901 | 3 |
| 1.820 | 28 |
| 1.576 | 13 |
| 1.447 | 1 |
| 1.410 | 36 |
| 1.287 | 26 |
| 1.115 | 9 |


Entry 2:
Starting from a structure optimized by DFT (PBE), the PXRD pattern of Dy4HgPb3 was calculated for Cu Kα, 1.54184 Å.
Peak positions follow from Bragg's law for the DFT cell and can differ from measured ones.

Structural model:
abc: 4.446 4.459 11.613
angles: 90.00 90.00 90.00
Space group Pmm2 (No. 25)
One atom of each set of equivalent atoms:
Dy 0.000 0.000 0.000 [1 per cell]
Dy 0.000 0.500 0.493 [1 per cell]
Dy 0.500 0.000 0.730 [1 per cell]
Dy 0.500 0.500 0.231 [1 per cell]
Hg 0.000 0.000 0.267 [1 per cell]
Pb 0.000 0.500 0.761 [1 per cell]
Pb 0.500 0.000 0.453 [1 per cell]
Pb 0.500 0.500 0.963 [1 per cell]

The 12 most intense peaks (15° ≤ 2θ ≤ 90°), low angle first:
| d [Å] | I/Imax |
| --- | --- |
| 3.039 | 100 |
| 2.903 | 39 |
| 2.443 | 85 |
| 2.431 | 13 |
| 2.229 | 26 |
| 2.223 | 25 |
| 1.767 | 37 |
| 1.574 | 17 |
| 1.468 | 13 |
| 1.384 | 17 |
| 1.325 | 13 |
| 1.322 | 13 |


Entry 3:
Starting from a structure optimized by DFT (PBE), the PXRD pattern of HoEr2ScO6 was calculated for Cu Kα, 1.54184 Å.
Peak positions follow from Bragg's law for the DFT cell and can differ from measured ones.

Structural model:
abc: 5.6613 5.6613 14.8635
angles: 90.00 90.00 120.00
Space group R3 (No. 146, hexagonal axes)
One atom of each set of equivalent atoms:
Ho 0.0000 0.0000 0.0000 [3 per cell]
Er 0.0000 0.0000 0.2807 [3 per cell]
Er 0.0000 0.0000 0.7832 [3 per cell]
Sc 0.0000 0.0000 0.4949 [3 per cell]
O 0.0423 0.3546 0.5571 [9 per cell]
O 0.0482 0.6703 0.0599 [9 per cell]

The 12 most intense peaks (15° ≤ 2θ ≤ 90°), low angle first:
| d [Å] | I/Imax |
| --- | --- |
| 4.656 | 17 |
| 4.092 | 29 |
| 2.961 | 100 |
| 2.831 | 93 |
| 2.046 | 41 |
| 1.864 | 31 |
| 1.737 | 14 |
| 1.658 | 40 |
| 1.634 | 27 |
| 1.422 | 11 |
| 1.415 | 12 |
| 1.277 | 15 |